(1)
This entry pairs a crystal structure of Rb2MnB2S6 with its calculated powder XRD pattern. Radiation: CuKα. Structure: a crystal structure in Alexandria, relaxed with GGA-PBE.
Peak positions follow from Bragg's law for the DFT cell and can differ from measured ones.

Atomic structure:
Cell lengths 6.4479, 6.4479, 21.6368 Å; angles 90.00, 90.00, 120.00 degrees
Space group R-3m (No. 166, hexagonal axes)
Unique sites:
Rb 0.0000 0.0000 0.2143 (multiplicity 6)
Mn 0.0000 0.0000 0.0000 (multiplicity 3)
B 0.0000 0.0000 0.3930 (multiplicity 6)
S 0.0091 0.5045 0.2631 (multiplicity 18)

Peak list (6 most intense, 10 to 90 degrees two-theta, low angle first)
2θ = 26.1°, d = 3.420 Å, rel. 100, (0 1 5); 2θ = 27.7°, d = 3.224 Å, rel. 39, (1 1 0); 2θ = 33.1°, d = 2.704 Å, rel. 80, (2 0 2); 2θ = 36.2°, d = 2.481 Å, rel. 66, (0 2 4); 2θ = 47.2°, d = 1.927 Å, rel. 31, (1 1 9); 2θ = 48.0°, d = 1.897 Å, rel. 29, (1 2 5)

(2)
This entry pairs a crystal structure of HfTi12Nb6 with its calculated powder XRD pattern. Radiation: CuKα. Structure: a crystal structure in Alexandria, relaxed with GGA-PBE.
Peak positions follow from Bragg's law for the DFT cell and can differ from measured ones.

Atomic structure:
Cell lengths 13.4995, 13.4995, 6.6665 Å; angles 90.00, 90.00, 120.00 degrees
Space group R-3m (No. 166, hexagonal axes)
Unique sites:
Hf 0.0000 0.0000 0.0000 (multiplicity 3)
Ti 0.0000 0.2917 0.5000 (multiplicity 18)
Ti 0.0796 0.1592 0.3347 (multiplicity 18)
Nb 0.1026 0.5513 0.5441 (multiplicity 18)

Peak list (6 most intense, 10 to 90 degrees two-theta, low angle first)
2θ = 15.3°, d = 5.791 Å, rel. 66, (1 0 1); 2θ = 30.9°, d = 2.896 Å, rel. 37, (2 0 2); 2θ = 36.1°, d = 2.488 Å, rel. 65, (3 2 1); 2θ = 38.7°, d = 2.324 Å, rel. 100, (3 1 2); 2θ = 40.1°, d = 2.250 Å, rel. 70, (3 3 0); 2θ = 43.1°, d = 2.097 Å, rel. 39, (2 4 1)

(3)
This entry pairs a crystal structure of DyCd12Hg7 with its calculated powder XRD pattern. Radiation: CuKα. Structure: a crystal structure in Alexandria, relaxed with GGA-PBE.
Peak positions follow from Bragg's law for the DFT cell and can differ from measured ones.

Atomic structure:
Cell lengths 12.0148, 12.0148, 11.5062 Å; angles 90.00, 90.00, 120.00 degrees
Space group R-3m (No. 166, hexagonal axes)
Unique sites:
Dy 0.0000 0.0000 0.0000 (multiplicity 3)
Cd 0.0000 0.2727 0.0000 (multiplicity 18)
Cd 0.0435 0.5217 0.1251 (multiplicity 18)
Hg 0.0000 0.0000 0.5000 (multiplicity 3)
Hg 0.0876 0.1753 0.7733 (multiplicity 18)

Peak list (6 most intense, 10 to 90 degrees two-theta, low angle first)
2θ = 32.0°, d = 2.799 Å, rel. 20, (1 3 1); 2θ = 32.3°, d = 2.773 Å, rel. 35, (1 0 4); 2θ = 34.8°, d = 2.576 Å, rel. 100, (0 3 3); 2θ = 35.4°, d = 2.537 Å, rel. 47, (4 0 1); 2θ = 38.0°, d = 2.369 Å, rel. 21, (0 4 2); 2θ = 63.2°, d = 1.470 Å, rel. 17, (4 3 4)

(4)
This entry pairs a crystal structure of Mg3Tl2Sn with its calculated powder XRD pattern. Radiation: CuKα. Structure: a crystal structure in Alexandria, relaxed with GGA-PBE.
Peak positions follow from Bragg's law for the DFT cell and can differ from measured ones.

Atomic structure:
Cell lengths 5.373, 16.196, 3.422 Å; angles 90.00, 90.00, 90.00 degrees
Space group Cmmm (No. 65)
Unique sites:
Mg 0.000 0.000 0.000 (multiplicity 2)
Mg 0.000 0.341 0.000 (multiplicity 4)
Tl 0.000 0.170 0.500 (multiplicity 4)
Sn 0.000 0.500 0.500 (multiplicity 2)

Peak list (6 most intense, 10 to 90 degrees two-theta, low angle first)
2θ = 23.4°, d = 3.808 Å, rel. 76, (1 3 0); 2θ = 26.0°, d = 3.422 Å, rel. 29, (0 0 1); 2θ = 33.2°, d = 2.699 Å, rel. 29, (0 6 0); 2θ = 33.4°, d = 2.686 Å, rel. 29, (2 0 0); 2θ = 35.3°, d = 2.545 Å, rel. 100, (1 3 1); 2θ = 47.8°, d = 1.904 Å, rel. 21, (2 6 0)

(5)
This entry pairs a crystal structure of Li3B8C8 with its calculated powder XRD pattern. Radiation: CuKα. Structure: a crystal structure in Alexandria, relaxed with GGA-PBE.
Peak positions follow from Bragg's law for the DFT cell and can differ from measured ones.

Atomic structure:
Cell lengths 4.568, 5.443, 7.434 Å; angles 90.00, 90.01, 90.00 degrees
Space group P2/m (No. 10)
Unique sites:
Li 0.000 0.000 0.000 (multiplicity 1)
Li 0.500 0.248 0.500 (multiplicity 2)
B 0.133 0.251 0.272 (multiplicity 4)
B 0.365 0.500 0.768 (multiplicity 2)
B 0.367 0.000 0.766 (multiplicity 2)
C 0.206 0.250 0.766 (multiplicity 4)
C 0.293 0.000 0.273 (multiplicity 2)
C 0.295 0.500 0.275 (multiplicity 2)

Peak list (6 most intense, 10 to 90 degrees two-theta, low angle first)
2θ = 23.9°, d = 3.717 Å, rel. 100, (0 0 2); 2θ = 31.0°, d = 2.883 Å, rel. 5, (1 0 -2); 2θ = 38.5°, d = 2.338 Å, rel. 6, (1 2 0); 2θ = 45.9°, d = 1.979 Å, rel. 15, (1 2 2); 2θ = 46.7°, d = 1.946 Å, rel. 10, (2 0 -2); 2θ = 49.0°, d = 1.858 Å, rel. 10, (0 0 4)

(6)
This entry pairs a crystal structure of Ti3Cd with its calculated powder XRD pattern. Radiation: CuKα. Structure: a crystal structure in Alexandria, relaxed with GGA-PBE.
Peak positions follow from Bragg's law for the DFT cell and can differ from measured ones.

Atomic structure:
Cell lengths 2.874, 2.874, 8.766 Å; angles 90.00, 90.00, 90.00 degrees
Space group P4/mmm (No. 123)
Unique sites:
Ti 0.000 0.000 0.000 (multiplicity 1)
Ti 0.500 0.500 0.230 (multiplicity 2)
Cd 0.000 0.000 0.500 (multiplicity 1)

Peak list (6 most intense, 10 to 90 degrees two-theta, low angle first)
2θ = 10.1°, d = 8.766 Å, rel. 23, (0 0 1); 2θ = 37.4°, d = 2.404 Å, rel. 100, (1 0 2); 2θ = 41.2°, d = 2.192 Å, rel. 18, (0 0 4); 2θ = 44.6°, d = 2.032 Å, rel. 30, (1 1 0); 2θ = 62.3°, d = 1.490 Å, rel. 19, (1 1 4); 2θ = 77.4°, d = 1.233 Å, rel. 21, (2 1 2)

(7)
This entry pairs a crystal structure of PmEr5TlIn2 with its calculated powder XRD pattern. Radiation: CuKα. Structure: a crystal structure in Alexandria, relaxed with GGA-PBE.
Peak positions follow from Bragg's law for the DFT cell and can differ from measured ones.

Atomic structure:
Cell lengths 8.520, 8.520, 14.162 Å; angles 90.00, 90.00, 90.00 degrees
Space group I4/mcm (No. 140)
Unique sites:
Pm 0.000 0.500 0.250 (multiplicity 4)
Er 0.000 0.000 0.000 (multiplicity 4)
Er 0.209 0.291 0.134 (multiplicity 16)
Tl 0.000 0.000 0.250 (multiplicity 4)
In 0.111 0.389 0.500 (multiplicity 8)

Peak list (6 most intense, 10 to 90 degrees two-theta, low angle first)
2θ = 29.7°, d = 3.012 Å, rel. 55, (2 2 0); 2θ = 30.1°, d = 2.965 Å, rel. 33, (2 1 3); 2θ = 32.9°, d = 2.723 Å, rel. 100, (2 0 4); 2θ = 33.3°, d = 2.694 Å, rel. 14, (3 1 0); 2θ = 54.7°, d = 1.678 Å, rel. 22, (4 2 4); 2θ = 60.7°, d = 1.526 Å, rel. 13, (2 2 8)

(8)
This entry pairs a crystal structure of Sr2CeSi6 with its calculated powder XRD pattern. Radiation: CuKα. Structure: a crystal structure in Alexandria, relaxed with GGA-PBE.
Peak positions follow from Bragg's law for the DFT cell and can differ from measured ones.

Atomic structure:
Cell lengths 7.1594, 7.1594, 4.4133 Å; angles 90.00, 90.00, 120.00 degrees
Space group P6/mmm (No. 191)
Unique sites:
Sr 0.3333 0.6667 0.0000 (multiplicity 2)
Ce 0.0000 0.0000 0.0000 (multiplicity 1)
Si 0.0000 0.3286 0.5000 (multiplicity 6)

Peak list (6 most intense, 10 to 90 degrees two-theta, low angle first)
2θ = 24.9°, d = 3.580 Å, rel. 31, (1 1 0); 2θ = 32.2°, d = 2.780 Å, rel. 100, (1 1 1); 2θ = 43.8°, d = 2.067 Å, rel. 32, (3 0 0); 2θ = 55.4°, d = 1.659 Å, rel. 21, (2 2 1); 2θ = 61.5°, d = 1.508 Å, rel. 22, (3 0 2); 2θ = 73.2°, d = 1.294 Å, rel. 18, (4 1 1)